For SmMgIn, a DFT-relaxed cell (PBE, the Materials Project) gives the theoretical powder diffraction line list in this record (Cu Kα (λ = 1.5418 Å)).

Top 6 peaks for 10 to 90 degrees two-theta, by angle:
- hkl 1 1 0, 2θ = 23.22°, rel. 196
- hkl 2 0 0, 2θ = 26.88°, rel. 236
- hkl 1 1 1, 2θ = 29.99°, rel. 540
- hkl 2 0 1, 2θ = 32.96°, rel. 1000
- hkl 0 0 2, 2θ = 37.96°, rel. 238
- hkl 3 0 0, 2θ = 40.75°, rel. 304

Structural model:
```
data_SmMgIn
_chemical_formula_sum 'Sm3 Mg3 In3'
_symmetry_space_group_name_H-M 'P -6 2 m'
_symmetry_Int_Tables_number 189
_symmetry_space_group_name_Hall 'P -6 -2'
_cell_length_a 7.6607
_cell_length_b 7.6607
_cell_length_c 4.7404
_cell_angle_alpha 90.00
_cell_angle_beta 90.00
_cell_angle_gamma 120.00
loop_
_atom_site_label
_atom_site_type_symbol
_atom_site_fract_x
_atom_site_fract_y
_atom_site_fract_z
Sm1 Sm 0.0000 0.4317 0.0000
Mg1 Mg 0.0000 0.7578 0.5000
In1 In 0.0000 0.0000 0.0000
In2 In 0.3333 0.6667 0.5000
```


For Sm2MgIn, a DFT-relaxed cell (PBE, the Materials Project) gives the theoretical powder diffraction line list in this record (Cu Kα (λ = 1.5418 Å)).

Top 6 peaks for 10 to 90 degrees two-theta, by angle:
- hkl 2 0 0, 2θ = 23.19°, rel. 152
- hkl 2 2 0, 2θ = 33.03°, rel. 1000
- hkl 4 0 0, 2θ = 47.40°, rel. 181
- hkl 4 2 2, 2θ = 58.99°, rel. 374
- hkl 4 4 0, 2θ = 69.29°, rel. 115
- hkl 6 2 0, 2θ = 78.93°, rel. 159

Structural model:
```
data_Sm2MgIn
_chemical_formula_sum 'Sm8 Mg4 In4'
_symmetry_space_group_name_H-M 'F m -3 m'
_symmetry_Int_Tables_number 225
_symmetry_space_group_name_Hall '-F 4 2 3'
_cell_length_a 7.6711
_cell_length_b 7.6711
_cell_length_c 7.6711
_cell_angle_alpha 90.00
_cell_angle_beta 90.00
_cell_angle_gamma 90.00
loop_
_atom_site_label
_atom_site_type_symbol
_atom_site_fract_x
_atom_site_fract_y
_atom_site_fract_z
Sm1 Sm 0.2500 0.2500 0.2500
Mg1 Mg 0.0000 0.0000 0.0000
In1 In 0.0000 0.0000 0.5000
```


For SrMgIn3, a DFT-relaxed cell (PBE, the Materials Project) gives the theoretical powder diffraction line list in this record (Cu Kα (λ = 1.5418 Å)).

Top 6 peaks for 10 to 90 degrees two-theta, by angle:
- hkl 1 0 1, 2θ = 19.98°, rel. 609
- hkl 1 0 3, 2θ = 28.07°, rel. 809
- hkl 1 1 2, 2θ = 30.08°, rel. 1000
- hkl 2 0 0, 2θ = 38.00°, rel. 772
- hkl 1 1 4, 2θ = 38.81°, rel. 505
- hkl 1 0 5, 2θ = 39.86°, rel. 646

Structural model:
```
data_SrMgIn3
_chemical_formula_sum 'Sr2 Mg2 In6'
_symmetry_space_group_name_H-M 'I -4 m 2'
_symmetry_Int_Tables_number 119
_symmetry_space_group_name_Hall 'I -4 -2'
_cell_length_a 4.7359
_cell_length_b 4.7359
_cell_length_c 12.8692
_cell_angle_alpha 90.00
_cell_angle_beta 90.00
_cell_angle_gamma 90.00
loop_
_atom_site_label
_atom_site_type_symbol
_atom_site_fract_x
_atom_site_fract_y
_atom_site_fract_z
Sr1 Sr 0.0000 0.0000 0.0000
Mg1 Mg 0.0000 0.5000 0.2500
In1 In 0.0000 0.0000 0.3891
In2 In 0.0000 0.5000 0.7500
```


For SrMg2In2, a DFT-relaxed cell (PBE, the Materials Project) gives the theoretical powder diffraction line list in this record (Cu Kα (λ = 1.5418 Å)).

Top 6 peaks for 10 to 90 degrees two-theta, by angle:
- hkl 1 1 0, 2θ = 26.86°, rel. 992
- hkl 1 0 3, 2θ = 28.00°, rel. 1000
- hkl 1 1 2, 2θ = 30.22°, rel. 674
- hkl 2 0 0, 2θ = 38.35°, rel. 733
- hkl 1 0 5, 2θ = 39.58°, rel. 923
- hkl 2 1 5, 2θ = 56.29°, rel. 641

Structural model:
```
data_SrMg2In2
_chemical_formula_sum 'Sr2 Mg4 In4'
_symmetry_space_group_name_H-M 'I 4/m m m'
_symmetry_Int_Tables_number 139
_symmetry_space_group_name_Hall '-I 4 2'
_cell_length_a 4.6946
_cell_length_b 4.6946
_cell_length_c 13.0171
_cell_angle_alpha 90.00
_cell_angle_beta 90.00
_cell_angle_gamma 90.00
loop_
_atom_site_label
_atom_site_type_symbol
_atom_site_fract_x
_atom_site_fract_y
_atom_site_fract_z
Sr1 Sr 0.0000 0.0000 0.0000
Mg1 Mg 0.0000 0.5000 0.2500
In1 In 0.0000 0.0000 0.3897
```


For TbMgIn, a DFT-relaxed cell (PBE, the Materials Project) gives the theoretical powder diffraction line list in this record (Cu Kα (λ = 1.5418 Å)).

Top 6 peaks for 10 to 90 degrees two-theta, by angle:
- hkl 1 1 0, 2θ = 23.52°, rel. 199
- hkl 2 0 0, 2θ = 27.22°, rel. 246
- hkl 1 1 1, 2θ = 30.39°, rel. 568
- hkl 2 0 1, 2θ = 33.39°, rel. 1000
- hkl 0 0 2, 2θ = 38.49°, rel. 240
- hkl 3 0 0, 2θ = 41.30°, rel. 307

Structural model:
```
data_TbMgIn
_chemical_formula_sum 'Tb3 Mg3 In3'
_symmetry_space_group_name_H-M 'P -6 2 m'
_symmetry_Int_Tables_number 189
_symmetry_space_group_name_Hall 'P -6 -2'
_cell_length_a 7.5647
_cell_length_b 7.5647
_cell_length_c 4.6784
_cell_angle_alpha 90.00
_cell_angle_beta 90.00
_cell_angle_gamma 120.00
loop_
_atom_site_label
_atom_site_type_symbol
_atom_site_fract_x
_atom_site_fract_y
_atom_site_fract_z
Tb1 Tb 0.0000 0.5697 0.0000
Mg1 Mg 0.0000 0.2429 0.5000
In1 In 0.0000 0.0000 0.0000
In2 In 0.3333 0.6667 0.5000
```


For TmMgIn, a DFT-relaxed cell (PBE, the Materials Project) gives the theoretical powder diffraction line list in this record (Cu Kα (λ = 1.5418 Å)).

Top 6 peaks for 10 to 90 degrees two-theta, by angle:
- hkl 1 1 0, 2θ = 23.87°, rel. 165
- hkl 2 0 0, 2θ = 27.63°, rel. 271
- hkl 1 1 1, 2θ = 30.70°, rel. 508
- hkl 2 0 1, 2θ = 33.76°, rel. 1000
- hkl 0 0 2, 2θ = 38.60°, rel. 230
- hkl 3 1 1, 2θ = 54.92°, rel. 181

Structural model:
```
data_TmMgIn
_chemical_formula_sum 'Tm3 Mg3 In3'
_symmetry_space_group_name_H-M 'P -6 2 m'
_symmetry_Int_Tables_number 189
_symmetry_space_group_name_Hall 'P -6 -2'
_cell_length_a 7.4561
_cell_length_b 7.4561
_cell_length_c 4.6648
_cell_angle_alpha 90.00
_cell_angle_beta 90.00
_cell_angle_gamma 120.00
loop_
_atom_site_label
_atom_site_type_symbol
_atom_site_fract_x
_atom_site_fract_y
_atom_site_fract_z
Tm1 Tm 0.0000 0.5639 0.0000
Mg1 Mg 0.0000 0.2415 0.5000
In1 In 0.0000 0.0000 0.0000
In2 In 0.3333 0.6667 0.5000
```


For Mn3In, a DFT-relaxed cell (PBE, the Materials Project) gives the theoretical powder diffraction line list in this record (Cu Kα (λ = 1.5418 Å)).

Top 6 peaks for 10 to 90 degrees two-theta, by angle:
- hkl 3 0 3, 2θ = 28.99°, rel. 151
- hkl 0 0 6, 2θ = 33.60°, rel. 94
- hkl 1 3 4, 2θ = 36.38°, rel. 132
- hkl 3 3 0, 2θ = 41.46°, rel. 1000
- hkl 1 5 2, 2θ = 46.05°, rel. 74
- hkl 9 0 0, 2θ = 75.59°, rel. 127

Structural model:
```
data_Mn3In
_chemical_formula_sum 'Mn117 In39'
_symmetry_space_group_name_H-M 'R 3 m'
_symmetry_Int_Tables_number 160
_symmetry_space_group_name_Hall 'R 3 -2"'
_cell_length_a 13.0788
_cell_length_b 13.0788
_cell_length_c 15.9753
_cell_angle_alpha 90.00
_cell_angle_beta 90.00
_cell_angle_gamma 120.00
loop_
_atom_site_label
_atom_site_type_symbol
_atom_site_fract_x
_atom_site_fract_y
_atom_site_fract_z
Mn1 Mn 0.0000 0.0000 0.0000
Mn2 Mn 0.0000 0.0000 0.2511
Mn3 Mn 0.0000 0.0000 0.7341
Mn4 Mn 0.0648 0.3549 0.0451
Mn5 Mn 0.0972 0.1945 0.6275
Mn6 Mn 0.1007 0.5504 0.4539
Mn7 Mn 0.1038 0.2076 0.9561
Mn8 Mn 0.1078 0.2155 0.4565
Mn9 Mn 0.1103 0.2206 0.2937
Mn10 Mn 0.1222 0.0611 0.8700
Mn11 Mn 0.1293 0.0647 0.3750
Mn12 Mn 0.2150 0.4300 0.6845
Mn13 Mn 0.2153 0.4305 0.1819
Mn14 Mn 0.2176 0.4351 0.9064
In1 In 0.0000 0.0000 0.5321
In2 In 0.0340 0.3463 0.5498
In3 In 0.0879 0.1758 0.1269
In4 In 0.2150 0.4300 0.3760
```


For MnIn3, a DFT-relaxed cell (PBE, the Materials Project) gives the theoretical powder diffraction line list in this record (Cu Kα (λ = 1.5418 Å)).

Top 6 peaks for 10 to 90 degrees two-theta, by angle:
- hkl 1 1 2, 2θ = 34.82°, rel. 1000
- hkl 0 0 4, 2θ = 37.93°, rel. 197
- hkl 2 0 0, 2θ = 41.62°, rel. 301
- hkl 2 0 4, 2θ = 57.57°, rel. 222
- hkl 1 1 6, 2θ = 66.52°, rel. 141
- hkl 3 1 2, 2θ = 71.58°, rel. 227

Structural model:
```
data_MnIn3
_chemical_formula_sum 'Mn2 In6'
_symmetry_space_group_name_H-M 'I 4/m m m'
_symmetry_Int_Tables_number 139
_symmetry_space_group_name_Hall '-I 4 2'
_cell_length_a 4.3395
_cell_length_b 4.3395
_cell_length_c 9.4883
_cell_angle_alpha 90.00
_cell_angle_beta 90.00
_cell_angle_gamma 90.00
loop_
_atom_site_label
_atom_site_type_symbol
_atom_site_fract_x
_atom_site_fract_y
_atom_site_fract_z
Mn1 Mn 0.0000 0.0000 0.0000
In1 In 0.0000 0.0000 0.5000
In2 In 0.0000 0.5000 0.2500
```